1.
# Ba5TlPd
Computed PXRD pattern, Cu Kα X-rays. Input: DFT lattice parameters and positions (PBE).

Peak list (10 most intense, 10 to 80 degrees two-theta, sorted by position)
2θ = 24.94°, I = 46.6, (1 1 -2)
2θ = 26.00°, I = 22.0, (2 0 0)
2θ = 26.24°, I = 27.4, (0 6 1)
2θ = 27.21°, I = 51.6, (2 2 0)
2θ = 28.67°, I = 100.0, (1 3 2)
2θ = 30.85°, I = 24.3, (1 7 0)
2θ = 31.80°, I = 38.3, (1 5 -2)
2θ = 31.97°, I = 35.2, (2 4 -1)
2θ = 45.91°, I = 26.9, (3 3 -2)
2θ = 53.47°, I = 27.6, (4 0 0)

Crystal structure
Cell lengths 6.8672, 22.3866, 8.2146 Å; angles 90.00, 93.51, 90.00 degrees
Space group C2/c (No. 15)
Unique sites:
Ba (0.0000, 0.1319, 0.2500) (multiplicity 4)
Ba (0.0032, 0.3070, 0.4942) (multiplicity 8)
Ba (0.2415, 0.4651, 0.1095) (multiplicity 8)
Tl (0.0000, 0.1747, 0.7500) (multiplicity 4)
Pd (0.0000, 0.4196, 0.7500) (multiplicity 4)

2.
# BaTl2Pd
Computed PXRD pattern, Cu Kα X-rays. Input: DFT lattice parameters and positions (PBE).

Peak list (10 most intense, 10 to 80 degrees two-theta, sorted by position)
2θ = 29.35°, I = 100.0, (4 2 0)
2θ = 30.62°, I = 55.8, (2 0 2)
2θ = 32.43°, I = 75.1, (2 1 2)
2θ = 32.79°, I = 34.5, (4 2 1)
2θ = 34.05°, I = 46.4, (6 0 1)
2θ = 36.39°, I = 42.3, (2 3 1)
2θ = 37.38°, I = 66.6, (2 2 2)
2θ = 37.89°, I = 37.1, (4 3 0)
2θ = 38.94°, I = 33.4, (7 0 1)
2θ = 54.04°, I = 41.5, (6 3 2)

Crystal structure
Cell lengths 17.4520, 8.4904, 6.1968 Å; angles 90.00, 90.00, 90.00 degrees
Space group Pnma (No. 62)
Unique sites:
Ba (0.1041, 0.2500, 0.2364) (multiplicity 4)
Ba (0.1408, 0.7500, 0.0322) (multiplicity 4)
Tl (0.0394, 0.0546, 0.7336) (multiplicity 8)
Tl (0.2130, 0.5532, 0.5277) (multiplicity 8)
Pd (0.0722, 0.7500, 0.5148) (multiplicity 4)
Pd (0.1788, 0.2500, 0.7516) (multiplicity 4)

3.
# BaTl4Pd
Computed PXRD pattern, Cu Kα X-rays. Input: DFT lattice parameters and positions (PBE).

Peak list (10 most intense, 10 to 80 degrees two-theta, sorted by position)
2θ = 10.47°, I = 26.9, (0 0 1)
2θ = 29.74°, I = 100.0, (2 1 1)
2θ = 30.06°, I = 52.7, (1 1 2)
2θ = 31.78°, I = 27.9, (0 0 3)
2θ = 32.67°, I = 20.1, (3 0 1)
2θ = 33.45°, I = 23.7, (1 0 3)
2θ = 35.08°, I = 85.7, (2 1 2)
2θ = 37.68°, I = 54.2, (0 2 0)
2θ = 37.85°, I = 33.1, (3 1 1)
2θ = 57.33°, I = 25.0, (4 2 0)

Crystal structure
Cell lengths 8.6940, 4.7744, 8.4481 Å; angles 90.00, 90.00, 90.00 degrees
Space group Pmma (No. 51)
Unique sites:
Ba (0.2500, 0.0000, 0.1112) (multiplicity 2)
Tl (0.0000, 0.0000, 0.5000) (multiplicity 2)
Tl (0.0643, 0.5000, 0.8053) (multiplicity 4)
Tl (0.2500, 0.5000, 0.4452) (multiplicity 2)
Pd (0.2500, 0.0000, 0.7111) (multiplicity 2)

4.
# Ba19Tl4Pd6
Computed PXRD pattern, Cu Kα X-rays. Input: DFT lattice parameters and positions (PBE).

Peak list (10 most intense, 10 to 80 degrees two-theta, sorted by position)
2θ = 15.75°, I = 12.1, (2 1 1)
2θ = 24.17°, I = 17.5, (3 2 1)
2θ = 27.46°, I = 100.0, (3 3 0)
2θ = 31.82°, I = 16.2, (4 2 2)
2θ = 39.23°, I = 16.5, (6 0 0)
2θ = 40.35°, I = 10.3, (5 3 2)
2θ = 48.55°, I = 27.3, (6 3 3)
2θ = 54.07°, I = 9.3, (7 1 4)
2θ = 56.68°, I = 10.1, (6 6 0)
2θ = 77.81°, I = 12.7, (9 3 6)

Crystal structure
Cell lengths 13.7793, 13.7793, 13.7793 Å; angles 90.00, 90.00, 90.00 degrees
Space group I23 (No. 197)
Unique sites:
Ba (0.0000, 0.0000, 0.0000) (multiplicity 2)
Ba (0.0000, 0.0000, 0.3518) (multiplicity 12)
Ba (0.0570, 0.2979, 0.2849) (multiplicity 24)
Tl (0.1640, 0.1640, 0.8360) (multiplicity 8)
Pd (0.0000, 0.3128, 0.5000) (multiplicity 12)